Entry 1:
Diffraction record for ReTe2Cl12. The PXRD pattern is simulated, not measured: it uses a DFT-relaxed cell (PBE, Alexandria) and a wavelength of 1.5418 Å.
Peak positions follow from Bragg's law for the DFT cell and can differ from measured ones.

Principal peaks in the range 2θ from 10° to 90°, low angle first:
hkl 1 0 4, 2θ 12.8, intensity 56; hkl 0 0 6, 2θ 13.9, intensity 53; hkl 1 1 3, 2θ 16.7, intensity 100; hkl 0 3 6, 2θ 30.0, intensity 86; hkl 0 3 12, 2θ 38.9, intensity 69; hkl 3 3 0, 2θ 46.7, intensity 29

Cell and atoms:
```
data_ReTe2Cl12
_chemical_formula_sum 'Re9 Te18 Cl108'
_symmetry_space_group_name_H-M 'R -3'
_symmetry_Int_Tables_number 148
_symmetry_space_group_name_Hall '-R 3'
_cell_length_a 11.6657
_cell_length_b 11.6657
_cell_length_c 38.1863
_cell_angle_alpha 90.00
_cell_angle_beta 90.00
_cell_angle_gamma 120.00
loop_
_atom_site_label
_atom_site_fract_x
_atom_site_fract_y
_atom_site_fract_z
Re1 0.0000 0.0000 0.0000
Re2 0.0000 0.0000 0.2518
Te1 0.0031 0.6514 0.7489
Cl1 0.0893 0.8968 0.9645
Cl2 0.0899 0.1921 0.2879
Cl3 0.0903 0.8506 0.4522
Cl4 0.0928 0.1924 0.7841
Cl5 0.0946 0.2310 0.6230
Cl6 0.0970 0.8709 0.1199
```

---

Entry 2:
Diffraction record for Pm6SmTl2. The PXRD pattern is simulated, not measured: it uses a DFT-relaxed cell (PBE, Alexandria) and a wavelength of 1.5418 Å.
Peak positions follow from Bragg's law for the DFT cell and can differ from measured ones.

Principal peaks in the range 2θ from 10° to 90°, low angle first:
hkl 1 1 2, 2θ 29.5, intensity 100; hkl 1 1 3, 2θ 33.7, intensity 29; hkl 2 0 0, 2θ 36.8, intensity 52; hkl 2 0 5, 2θ 52.3, intensity 18; hkl 2 2 0, 2θ 53.0, intensity 18; hkl 3 1 2, 2θ 61.8, intensity 25

Cell and atoms:
```
data_Pm6SmTl2
_chemical_formula_sum 'Pm6 Sm1 Tl2'
_symmetry_space_group_name_H-M 'P 4/m m m'
_symmetry_Int_Tables_number 123
_symmetry_space_group_name_Hall '-P 4 2'
_cell_length_a 4.890
_cell_length_b 4.890
_cell_length_c 12.523
_cell_angle_alpha 90.00
_cell_angle_beta 90.00
_cell_angle_gamma 90.00
loop_
_atom_site_label
_atom_site_fract_x
_atom_site_fract_y
_atom_site_fract_z
Pm1 0.000 0.000 0.000
Pm2 0.000 0.500 0.220
Pm3 0.500 0.500 0.000
Sm1 0.000 0.000 0.500
Tl1 0.500 0.500 0.387
```

---

Entry 3:
Diffraction record for Dy4Tm2Se9. The PXRD pattern is simulated, not measured: it uses a DFT-relaxed cell (PBE, Alexandria) and a wavelength of 1.5418 Å.
Peak positions follow from Bragg's law for the DFT cell and can differ from measured ones.

Principal peaks in the range 2θ from 10° to 90°, low angle first:
hkl 1 1 2, 2θ 17.0, intensity 42; hkl 1 1 -4, 2θ 23.3, intensity 56; hkl 2 1 0, 2θ 24.8, intensity 41; hkl 2 1 3, 2θ 28.5, intensity 54; hkl 1 2 6, 2θ 37.5, intensity 100; hkl 3 3 0, 2θ 43.8, intensity 61

Cell and atoms:
```
data_Dy4Tm2Se9
_chemical_formula_sum 'Dy8 Tm4 Se18'
_symmetry_space_group_name_H-M 'P -1'
_symmetry_Int_Tables_number 2
_cell_length_a 7.165
_cell_length_b 7.167
_cell_length_c 19.402
_cell_angle_alpha 89.99
_cell_angle_beta 89.97
_cell_angle_gamma 60.03
loop_
_symmetry_equiv_pos_as_xyz
'x,y,z'
'-x,-y,-z'
loop_
_atom_site_label
_atom_site_fract_x
_atom_site_fract_y
_atom_site_fract_z
Dy1 0.166 0.167 0.181
Dy2 0.166 0.167 0.985
Dy3 0.167 0.166 0.485
Dy4 0.168 0.166 0.681
Tm1 0.499 0.501 0.153
Tm2 0.500 0.499 0.347
Se1 0.142 0.530 0.417
Se2 0.144 0.828 0.917
Se3 0.171 0.472 0.083
Se4 0.171 0.858 0.583
Se5 0.197 0.803 0.250
Se6 0.198 0.500 0.750
Se7 0.471 0.173 0.583
Se8 0.471 0.858 0.083
Se9 0.499 0.198 0.250
```

---

Entry 4:
Diffraction record for NaNd9Si6O26. The PXRD pattern is simulated, not measured: it uses a DFT-relaxed cell (PBE, Alexandria) and a wavelength of 1.5418 Å.
Peak positions follow from Bragg's law for the DFT cell and can differ from measured ones.

Principal peaks in the range 2θ from 10° to 90°, low angle first:
hkl 1 1 1, 2θ 22.3, intensity 30; hkl 0 1 2, 2θ 27.3, intensity 36; hkl 1 2 0, 2θ 28.3, intensity 34; hkl 3 -1 1, 2θ 31.0, intensity 100; hkl 2 -1 2, 2θ 31.3, intensity 48; hkl 1 2 3, 2θ 48.0, intensity 34

Cell and atoms:
```
data_NaNd9Si6O26
_chemical_formula_sum 'Na1 Nd9 Si6 O26'
_symmetry_space_group_name_H-M 'P 3'
_symmetry_Int_Tables_number 143
_cell_length_a 9.6305
_cell_length_b 9.6305
_cell_length_c 7.1057
_cell_angle_alpha 90.00
_cell_angle_beta 90.00
_cell_angle_gamma 120.00
loop_
_symmetry_equiv_pos_as_xyz
'x,y,z'
'-y,x-y,z'
'-x+y,-x,z'
loop_
_atom_site_label
_atom_site_fract_x
_atom_site_fract_y
_atom_site_fract_z
Na1 0.0000 0.0000 0.0000
Nd1 0.0000 0.0000 0.5036
Nd2 0.3333 0.6667 0.0102
Nd3 0.3333 0.6667 0.5106
Nd4 0.4211 0.3210 0.7613
Nd5 0.4341 0.0920 0.2570
Si1 0.0379 0.7355 0.2586
Si2 0.0658 0.3626 0.7567
O1 0.0126 0.4279 0.9427
O2 0.0190 0.4357 0.5714
O3 0.0693 0.2099 0.2580
O4 0.1577 0.6585 0.2601
O5 0.1892 0.0198 0.7491
O6 0.1960 0.7357 0.7621
O7 0.3174 0.2394 0.4474
O8 0.3482 0.2589 0.0839
O9 0.6667 0.3333 0.2816
O10 0.6667 0.3333 0.7627
```

---

Entry 5:
Diffraction record for KSmF4. The PXRD pattern is simulated, not measured: it uses a DFT-relaxed cell (PBE, Alexandria) and a wavelength of 1.5418 Å.
Peak positions follow from Bragg's law for the DFT cell and can differ from measured ones.

Principal peaks in the range 2θ from 10° to 90°, low angle first:
hkl 0 0 2, 2θ 11.3, intensity 100; hkl 1 0 2, 2θ 18.2, intensity 72; hkl 1 0 4, 2θ 26.8, intensity 86; hkl 1 1 1, 2θ 28.5, intensity 100; hkl 2 1 3, 2θ 41.6, intensity 68; hkl 3 0 4, 2θ 49.7, intensity 66

Cell and atoms:
```
data_KSmF4
_chemical_formula_sum 'K4 Sm4 F16'
_symmetry_space_group_name_H-M 'P n m a'
_symmetry_Int_Tables_number 62
_cell_length_a 6.227
_cell_length_b 3.720
_cell_length_c 15.712
_cell_angle_alpha 90.00
_cell_angle_beta 90.00
_cell_angle_gamma 90.00
loop_
_symmetry_equiv_pos_as_xyz
'x,y,z'
'-x,-y,-z'
'-x+1/2,-y,z+1/2'
'x+1/2,y,-z+1/2'
'x+1/2,-y+1/2,-z+1/2'
'-x+1/2,y+1/2,z+1/2'
'-x,y+1/2,-z'
'x,-y+1/2,z'
loop_
_atom_site_label
_atom_site_fract_x
_atom_site_fract_y
_atom_site_fract_z
K1 0.222 0.250 0.202
Sm1 0.249 0.750 0.440
F1 0.005 0.250 0.057
F2 0.093 0.250 0.810
F3 0.105 0.250 0.367
F4 0.134 0.250 0.536
```

---

Entry 6:
Diffraction record for Na2U3S6. The PXRD pattern is simulated, not measured: it uses a DFT-relaxed cell (PBE, Alexandria) and a wavelength of 1.5418 Å.
Peak positions follow from Bragg's law for the DFT cell and can differ from measured ones.

Principal peaks in the range 2θ from 10° to 90°, low angle first:
hkl 0 0 1, 2θ 13.1, intensity 100; hkl 2 0 -1, 2θ 26.3, intensity 65; hkl 2 0 0, 2θ 27.4, intensity 34; hkl 1 3 1, 2θ 31.4, intensity 75; hkl 2 0 2, 2θ 44.3, intensity 28; hkl 3 3 -1, 2θ 45.7, intensity 27

Cell and atoms:
```
data_Na2U3S6
_chemical_formula_sum 'Na4 U6 S12'
_symmetry_space_group_name_H-M 'C 1 2/m 1'
_symmetry_Int_Tables_number 12
_cell_length_a 6.873
_cell_length_b 11.897
_cell_length_c 7.154
_cell_angle_alpha 90.00
_cell_angle_beta 108.56
_cell_angle_gamma 90.00
loop_
_symmetry_equiv_pos_as_xyz
'x,y,z'
'-x,-y,-z'
'-x,y,-z'
'x,-y,z'
'x+1/2,y+1/2,z'
'-x+1/2,-y+1/2,-z'
'-x+1/2,y+1/2,-z'
'x+1/2,-y+1/2,z'
loop_
_atom_site_label
_atom_site_fract_x
_atom_site_fract_y
_atom_site_fract_z
Na1 0.000 0.167 0.000
U1 0.000 0.000 0.500
U2 0.000 0.336 0.500
S1 0.238 0.169 0.722
S2 0.245 0.500 0.725
```